No. 1
The following is a computed powder XRD pattern of SmB3O6. It was derived from the PBE geometry in the Materials Project, using Cu Kα (λ = 1.5418 Å).

Structure:
```
20
Lattice="4.920 -4.069 0.000 4.920 4.069 0.000 -3.803 0.000 5.097" Properties=species:S:1:pos:R:3 pbc="T T T"
Sm 2.068 2.411 3.823
Sm 3.970 -2.411 1.274
B -0.782 0.534 4.650
B 3.970 2.258 1.274
B 1.120 -0.534 2.101
B 4.918 0.534 2.996
B 2.068 -2.258 3.823
B 6.820 -0.534 0.447
O 2.787 3.146 1.486
O 1.040 0.735 2.515
O 3.901 1.504 0.028
O 5.152 3.146 1.062
O -0.862 -0.735 5.063
O 4.038 1.504 2.520
O 1.999 -1.504 2.577
O 6.899 0.735 0.034
O 0.886 -3.146 4.035
O 2.137 -1.504 5.069
O 4.998 -0.735 2.583
O 3.250 -3.146 3.611
```

Principal peaks in the range 2θ from 10° to 90°, sorted by position:
- d = 5.005 Å, intensity 100
- d = 4.069 Å, intensity 40
- d = 3.944 Å, intensity 40
- d = 3.173 Å, intensity 85
- d = 3.029 Å, intensity 30
- d = 2.832 Å, intensity 53
- d = 2.048 Å, intensity 30
- d = 1.864 Å, intensity 29

=====

No. 2
The following is a computed powder XRD pattern of SmBO3. It was derived from the PBE geometry in the Materials Project, using Cu Kα (λ = 1.5418 Å).

Structure:
```
20
Lattice="6.789 0.000 0.000 0.000 8.869 0.000 0.000 0.000 4.299" Properties=species:S:1:pos:R:3 pbc="T T T"
Sm 0.000 0.000 0.000
Sm 0.000 4.434 0.000
Sm 3.394 0.000 2.149
Sm 3.394 4.434 2.149
B 0.888 2.217 1.861
B 2.506 6.652 4.010
B 4.282 2.217 0.289
B 5.901 6.652 2.438
O 0.207 2.217 0.661
O 1.179 0.966 2.407
O 1.179 3.468 2.407
O 2.215 5.400 0.258
O 2.215 7.903 0.258
O 3.188 6.652 2.810
O 3.601 2.217 1.488
O 4.574 0.966 4.041
O 4.574 3.468 4.041
O 5.610 5.400 1.891
O 5.610 7.903 1.891
O 6.582 6.652 3.638
```

Principal peaks in the range 2θ from 10° to 90°, sorted by position:
- d = 4.434 Å, intensity 65
- d = 3.632 Å, intensity 92
- d = 3.394 Å, intensity 43
- d = 2.810 Å, intensity 100
- d = 2.695 Å, intensity 38
- d = 2.002 Å, intensity 34
- d = 1.892 Å, intensity 43
- d = 1.825 Å, intensity 29

=====

No. 3
The following is a computed powder XRD pattern of SmBO3. It was derived from the PBE geometry in the Materials Project, using Cu Kα (λ = 1.5418 Å).

Structure:
```
10
Lattice="8.811 0.000 0.000 0.000 3.462 2.106 0.000 -3.462 2.106" Properties=species:S:1:pos:R:3 pbc="T T T"
Sm 0.000 0.000 0.000
Sm 4.406 0.000 0.000
B 2.203 0.891 2.409
B 6.608 -0.891 2.409
O 0.942 1.187 1.886
O 2.203 0.234 3.614
O 3.463 1.187 1.886
O 5.348 -1.187 1.886
O 6.608 -0.234 3.614
O 7.869 -1.187 1.886
```

Principal peaks in the range 2θ from 10° to 90°, sorted by position:
- d = 4.406 Å, intensity 66
- d = 3.599 Å, intensity 94
- d = 3.462 Å, intensity 47
- d = 2.787 Å, intensity 100
- d = 2.722 Å, intensity 40
- d = 2.024 Å, intensity 37
- d = 1.879 Å, intensity 44
- d = 1.839 Å, intensity 31

=====

No. 4
The following is a computed powder XRD pattern of SmBO3. It was derived from the PBE geometry in the Materials Project, using Cu Kα (λ = 1.5418 Å).

Structure:
```
20
Lattice="6.317 0.000 0.000 -1.911 6.239 0.000 -1.825 -0.930 6.203" Properties=species:S:1:pos:R:3 pbc="T T T"
Sm -0.820 1.349 2.064
Sm 0.834 4.865 1.377
Sm 1.748 0.444 4.825
Sm 3.402 3.960 4.138
B -1.774 0.773 4.842
B 2.022 1.461 1.647
B 0.560 3.848 4.555
B 4.355 4.537 1.361
O -1.264 4.811 0.219
O -1.339 3.680 2.285
O -0.601 0.155 4.435
O 1.402 0.442 2.397
O -0.624 4.192 5.197
O 1.351 2.642 1.553
O 1.230 2.668 4.650
O 3.206 1.118 1.006
O 1.179 4.867 3.806
O 3.182 5.154 1.768
O 3.920 1.629 3.918
O 3.845 0.499 5.984
```

Principal peaks in the range 2θ from 10° to 90°, sorted by position:
- d = 4.271 Å, intensity 100
- d = 3.680 Å, intensity 75
- d = 3.637 Å, intensity 77
- d = 3.101 Å, intensity 57
- d = 3.085 Å, intensity 72
- d = 2.872 Å, intensity 56
- d = 2.534 Å, intensity 33
- d = 1.928 Å, intensity 32